Diffraction record for Ag3Cl4. The PXRD pattern is theoretical, not measured: it uses DFT lattice parameters and positions (PBE) and a wavelength of 1.5418 Å.

Peak list (10 most intense, 10° ≤ 2θ ≤ 90°, in order of falling intensity)
h k l  2θ/deg  d_spacing  intensity
3 1 1  26.49  3.364  100.0
4 4 0  46.01  1.972  66.4
5 1 1  42.08  2.147  43.3
4 0 0  32.09  2.790  27.6
2 2 0  22.54  3.945  27.1
5 5 3  64.11  1.453  21.3
8 4 4  85.21  1.139  20.2
5 3 3  53.88  1.702  13.3
5 5 5  73.50  1.288  12.6
4 2 2  39.57  2.278  11.8

Atomic structure:
a = 11.158 Å, b = 11.158 Å, c = 11.158 Å
α = 90.00°, β = 90.00°, γ = 90.00°
Space group Fd-3m (No. 227, origin choice 2)
Asymmetric unit:
Ag  0.000  0.000  0.000 (multiplicity 16)
Ag  0.125  0.125  0.625 (multiplicity 8)
Cl  0.007  0.007  0.243 (multiplicity 32)


Diffraction record for AgCl. The PXRD pattern is theoretical, not measured: it uses DFT lattice parameters and positions (PBE) and a wavelength of 1.5418 Å.

Peak list (10 most intense, 10° ≤ 2θ ≤ 90°, in order of falling intensity)
h k l  2θ/deg  d_spacing  intensity
3 0 1  26.93  3.310  100.0
3 1 2  43.02  2.103  71.7
2 1 1  30.02  2.976  61.5
1 0 1  16.07  5.515  48.8
1 1 0  22.73  3.912  47.2
3 1 0  31.50  2.840  46.6
2 0 2  32.47  2.757  44.7
0 0 2  28.54  3.128  32.8
0 1 3  48.85  1.864  26.3
5 1 0  44.49  2.036  26.0

Atomic structure:
a = 11.685 Å, b = 4.151 Å, c = 6.255 Å
α = 90.00°, β = 90.00°, γ = 90.00°
Space group Pmn2_1 (No. 31)
Asymmetric unit:
Ag  0.000  0.096  0.000 (multiplicity 2)
Ag  0.185  0.285  0.666 (multiplicity 4)
Cl  0.000  0.622  0.728 (multiplicity 2)
Cl  0.180  0.188  0.236 (multiplicity 4)


Diffraction record for Ag5Cl. The PXRD pattern is theoretical, not measured: it uses DFT lattice parameters and positions (PBE) and a wavelength of 1.5418 Å.

Peak list (10 most intense, 10° ≤ 2θ ≤ 90°, in order of falling intensity)
h k l  2θ/deg  d_spacing  intensity
1 1 3  38.15  2.359  100.0
1 0 6  39.28  2.294  33.6
2 0 0  39.71  2.270  29.3
0 0 2  11.10  7.974  27.1
0 1 3  32.42  2.761  21.4
3 1 3  71.04  1.327  14.6
2 2 0  71.73  1.316  14.4
0 0 6  33.72  2.658  14.1
2 1 9  73.92  1.282  11.6
0 1 9  59.49  1.554  11.3

Atomic structure:
a = 4.540 Å, b = 3.231 Å, c = 15.949 Å
α = 90.00°, β = 90.00°, γ = 90.00°
Space group Amm2 (No. 38)
Asymmetric unit:
Ag  0.000  0.000  0.000 (multiplicity 2)
Ag  0.000  0.000  0.305 (multiplicity 2)
Ag  0.000  0.000  0.653 (multiplicity 2)
Ag  0.500  0.000  0.193 (multiplicity 2)
Ag  0.500  0.000  0.542 (multiplicity 2)
Cl  0.500  0.000  0.881 (multiplicity 2)